[1]
Computed powder diffraction line list
Compound: LuNi4P2
Radiation: Cu Kα (λ = 1.5418 Å)
Structure: a structure optimized by DFT (GGA-PBE)
Lines closer than 0.1° are merged.

Principal peaks in the range 5° ≤ 2θ ≤ 70°, sorted by position:
2θ/deg, I/Imax, index
27.95, 20, 1 0 1
38.04, 100, 2 1 1
40.50, 45, 3 1 0
44.30, 18, 2 2 1
48.11, 18, 3 1 1
67.06, 19, 3 1 2

```
data_LuNi4P2
_cell_length_a 7.044
_cell_length_b 7.044
_cell_length_c 3.582
_cell_angle_alpha 90.00
_cell_angle_beta 90.00
_cell_angle_gamma 90.00
_space_group_name_H-M_alt 'P 42/m n m'
_space_group_IT_number 136
_space_group_name_Hall '-P 4n 2n'
loop_
_atom_site_label
_atom_site_fract_x
_atom_site_fract_y
_atom_site_fract_z
Lu1 0.000 0.000 0.000
Ni1 0.083 0.334 0.500
P1 0.221 0.779 0.500
```

***

[2]
Computed powder diffraction line list
Compound: TbLuSiNi
Radiation: Cu Kα (λ = 1.5418 Å)
Structure: a structure optimized by DFT (GGA-PBE)
Lines closer than 0.1° are merged.

Principal peaks in the range 5° ≤ 2θ ≤ 70°, sorted by position:
2θ/deg, I/Imax, index
26.04, 39, 2 0 0
37.15, 100, 2 2 0
45.93, 12, 2 2 2
53.55, 17, 4 0 0
60.49, 16, 4 2 0
66.98, 35, 4 2 2

```
data_TbLuSiNi
_cell_length_a 6.845
_cell_length_b 6.845
_cell_length_c 6.845
_cell_angle_alpha 90.00
_cell_angle_beta 90.00
_cell_angle_gamma 90.00
_space_group_name_H-M_alt 'F -4 3 m'
_space_group_IT_number 216
_space_group_name_Hall 'F -4 2 3'
loop_
_atom_site_label
_atom_site_fract_x
_atom_site_fract_y
_atom_site_fract_z
Tb1 0.000 0.000 0.000
Lu1 0.000 0.000 0.500
Si1 0.250 0.250 0.750
Ni1 0.250 0.250 0.250
```